The following is a calculated PXRD pattern of Cs2SrPdBr6. It was derived from a cell relaxed with PBE, using Cu Kα.
Kinematic intensities with the Lorentz-polarization factor, no thermal factor.

Most intense lines, 15 to 90 degrees two-theta, low angle first:
- hkl 2 2 0, 2θ = 22.2°, 4.004 Å, intensity 49
- hkl 2 2 2, 2θ = 27.3°, 3.269 Å, intensity 67
- hkl 4 0 0, 2θ = 31.6°, 2.831 Å, intensity 100
- hkl 4 4 0, 2θ = 45.3°, 2.002 Å, intensity 70
- hkl 6 2 2, 2θ = 53.7°, 1.707 Å, intensity 27
- hkl 4 4 4, 2θ = 56.3°, 1.635 Å, intensity 24
- hkl 8 4 0, 2θ = 75.0°, 1.266 Å, intensity 29
- hkl 8 4 4, 2θ = 83.7°, 1.156 Å, intensity 22

Structure:
Lattice parameters (Å, degrees): 11.3242 11.3242 11.3242 90.00 90.00 90.00
Space group Fm-3m (No. 225)
Unique sites:
Cs (0.2500, 0.2500, 0.2500) x8
Sr (0.0000, 0.0000, 0.0000) x4
Pd (0.0000, 0.0000, 0.5000) x4
Br (0.0000, 0.0000, 0.2643) x24


The following is a calculated PXRD pattern of CsPt2Br5. It was derived from a cell relaxed with PBE, using Cu Kα.
Kinematic intensities with the Lorentz-polarization factor, no thermal factor.

Most intense lines, 15 to 90 degrees two-theta, low angle first:
- hkl 2 0 -2, 2θ = 21.8°, 4.086 Å, intensity 84
- hkl 0 1 2, 2θ = 24.3°, 3.659 Å, intensity 66
- hkl 1 1 -2, 2θ = 24.8°, 3.593 Å, intensity 35
- hkl 1 0 -4, 2θ = 29.9°, 2.988 Å, intensity 100
- hkl 2 1 -3, 2θ = 32.6°, 2.747 Å, intensity 36
- hkl 3 0 2, 2θ = 36.9°, 2.434 Å, intensity 39
- hkl 0 2 0, 2θ = 38.1°, 2.359 Å, intensity 60
- hkl 2 2 -2, 2θ = 44.3°, 2.043 Å, intensity 33

Structure:
Lattice parameters (Å, degrees): 9.3167 4.7190 11.9664 90.00 104.37 90.00
Space group P2_1/m (No. 11)
Unique sites:
Cs (0.0185, 0.2500, 0.2523) x2
Pt (0.3720, 0.2500, 0.1302) x2
Pt (0.4138, 0.2500, 0.6198) x2
Br (0.1431, 0.2500, 0.5833) x2
Br (0.1494, 0.2500, 0.9729) x2
Br (0.3226, 0.7500, 0.3795) x2
Br (0.4157, 0.7500, 0.0828) x2
Br (0.4176, 0.7500, 0.6965) x2


The following is a calculated PXRD pattern of CsSmBr3. It was derived from a cell relaxed with PBE, using Cu Kα.
Kinematic intensities with the Lorentz-polarization factor, no thermal factor.

Most intense lines, 15 to 90 degrees two-theta, low angle first:
- hkl 1 1 0, 2θ = 21.8°, 4.074 Å, intensity 68
- hkl 1 1 1, 2θ = 26.8°, 3.327 Å, intensity 37
- hkl 2 0 0, 2θ = 31.0°, 2.881 Å, intensity 100
- hkl 2 1 1, 2θ = 38.3°, 2.352 Å, intensity 32
- hkl 2 2 0, 2θ = 44.5°, 2.037 Å, intensity 73
- hkl 2 2 2, 2θ = 55.2°, 1.663 Å, intensity 25
- hkl 4 2 0, 2θ = 73.5°, 1.288 Å, intensity 33
- hkl 4 2 2, 2θ = 81.9°, 1.176 Å, intensity 25

Structure:
Lattice parameters (Å, degrees): 5.7621 5.7621 5.7621 90.00 90.00 90.00
Space group Pm-3m (No. 221)
Unique sites:
Cs (0.0000, 0.0000, 0.0000) x1
Sm (0.5000, 0.5000, 0.5000) x1
Br (0.0000, 0.5000, 0.5000) x3


The following is a calculated PXRD pattern of Cs3ZrBr6. It was derived from a cell relaxed with PBE, using Cu Kα.
Kinematic intensities with the Lorentz-polarization factor, no thermal factor.

Most intense lines, 15 to 90 degrees two-theta, low angle first:
- hkl 2 2 0, 2θ = 20.7°, 4.289 Å, intensity 62
- hkl 2 2 2, 2θ = 25.4°, 3.502 Å, intensity 56
- hkl 4 0 0, 2θ = 29.5°, 3.032 Å, intensity 100
- hkl 4 2 2, 2θ = 36.3°, 2.476 Å, intensity 23
- hkl 4 4 0, 2θ = 42.1°, 2.144 Å, intensity 68
- hkl 6 2 0, 2θ = 47.4°, 1.918 Å, intensity 20
- hkl 4 4 4, 2θ = 52.2°, 1.751 Å, intensity 22
- hkl 8 4 0, 2θ = 69.3°, 1.356 Å, intensity 25

Structure:
Lattice parameters (Å, degrees): 12.1299 12.1299 12.1299 90.00 90.00 90.00
Space group Fm-3m (No. 225)
Unique sites:
Cs (0.0000, 0.0000, 0.0000) x4
Cs (0.2500, 0.2500, 0.2500) x8
Zr (0.0000, 0.0000, 0.5000) x4
Br (0.0000, 0.0000, 0.2772) x24


The following is a calculated PXRD pattern of CuBr7. It was derived from a cell relaxed with PBE, using Cu Kα.
Kinematic intensities with the Lorentz-polarization factor, no thermal factor.

Most intense lines, 15 to 90 degrees two-theta, low angle first:
- hkl 1 1 -1, 2θ = 21.0°, 4.221 Å, intensity 26
- hkl 0 2 0, 2θ = 24.6°, 3.617 Å, intensity 100
- hkl 2 0 -1, 2θ = 24.8°, 3.589 Å, intensity 25
- hkl 2 0 0, 2θ = 24.9°, 3.572 Å, intensity 76
- hkl 2 -2 0, 2θ = 25.3°, 3.519 Å, intensity 33
- hkl 2 -2 1, 2θ = 27.0°, 3.299 Å, intensity 24
- hkl -1 1 3, 2θ = 31.8°, 2.810 Å, intensity 38
- hkl 1 -1 4, 2θ = 41.0°, 2.201 Å, intensity 29

Structure:
Lattice parameters (Å, degrees): 8.1935 8.3186 9.5331 98.07 96.79 116.98
Space group P-1 (No. 2)
Unique sites:
Cu (0.1187, 0.3861, 0.3167) x2
Br (0.1541, 0.7258, 0.9297) x2
Br (0.2135, 0.1843, 0.2035) x2
Br (0.2193, 0.7320, 0.6516) x2
Br (0.2487, 0.2430, 0.4944) x2
Br (0.2609, 0.7159, 0.3943) x2
Br (0.2771, 0.2841, 0.7667) x2
Br (0.4275, 0.7223, 0.0862) x2


The following is a calculated PXRD pattern of FeCuI2Br2. It was derived from a cell relaxed with PBE, using Cu Kα.
Kinematic intensities with the Lorentz-polarization factor, no thermal factor.

Most intense lines, 15 to 90 degrees two-theta, low angle first:
- hkl 1 1 0, 2θ = 16.8°, 5.284 Å, intensity 10
- hkl 2 2 -1, 2θ = 26.6°, 3.357 Å, intensity 100
- hkl 4 0 -2, 2θ = 42.8°, 2.113 Å, intensity 11
- hkl 2 4 0, 2θ = 44.6°, 2.033 Å, intensity 18
- hkl 2 4 -2, 2θ = 44.8°, 2.022 Å, intensity 18
- hkl 4 2 -1, 2θ = 50.8°, 1.798 Å, intensity 16
- hkl 4 2 -3, 2θ = 51.2°, 1.783 Å, intensity 16
- hkl 2 6 -1, 2θ = 54.4°, 1.686 Å, intensity 13

Structure:
Lattice parameters (Å, degrees): 8.4541 11.0263 5.9503 90.00 134.59 90.00
Space group C2 (No. 5)
Unique sites:
Fe (0.0000, 0.0000, 0.0000) x2
Cu (0.0000, 0.2355, 0.5000) x2
I (0.2447, 0.8672, 0.9926) x4
Br (0.2326, 0.1169, 0.4735) x4


The following is a calculated PXRD pattern of FeCuI2Br2. It was derived from a cell relaxed with PBE, using Cu Kα.
Kinematic intensities with the Lorentz-polarization factor, no thermal factor.

Most intense lines, 15 to 90 degrees two-theta, low angle first:
- hkl 0 1 -1, 2θ = 17.0°, 5.227 Å, intensity 64
- hkl 1 1 0, 2θ = 26.1°, 3.418 Å, intensity 100
- hkl -1 1 1, 2θ = 26.3°, 3.383 Å, intensity 93
- hkl 1 -1 1, 2θ = 26.5°, 3.368 Å, intensity 93
- hkl 1 1 -2, 2θ = 26.9°, 3.318 Å, intensity 86
- hkl 2 0 -1, 2θ = 29.8°, 2.994 Å, intensity 58
- hkl 2 -2 0, 2θ = 42.6°, 2.121 Å, intensity 38
- hkl 2 2 -2, 2θ = 42.8°, 2.113 Å, intensity 38

Structure:
Lattice parameters (Å, degrees): 5.9868 5.9938 6.8907 114.40 114.70 90.19
Space group P1 (No. 1)
Unique sites:
Fe (0.0000, 0.0000, 0.0000) x1
Cu (0.7660, 0.2393, 0.5000) x1
I (0.1345, 0.6297, 0.7508) x1
I (0.3787, 0.3688, 0.2488) x1
Br (0.6561, 0.1119, 0.7503) x1
Br (0.8925, 0.8907, 0.2492) x1


The following is a calculated PXRD pattern of GaCuIBr3. It was derived from a cell relaxed with PBE, using Cu Kα.
Kinematic intensities with the Lorentz-polarization factor, no thermal factor.

Most intense lines, 15 to 90 degrees two-theta, low angle first:
- hkl 1 0 1, 2θ = 16.9°, 5.233 Å, intensity 26
- hkl 0 1 1, 2θ = 17.1°, 5.197 Å, intensity 26
- hkl 1 1 0, 2θ = 26.2°, 3.399 Å, intensity 55
- hkl 1 -1 1, 2θ = 26.3°, 3.382 Å, intensity 54
- hkl 1 1 2, 2θ = 26.9°, 3.315 Å, intensity 100
- hkl 2 2 2, 2θ = 42.8°, 2.112 Å, intensity 46
- hkl 0 2 -1, 2θ = 43.9°, 2.063 Å, intensity 22
- hkl 3 -1 0, 2θ = 51.4°, 1.776 Å, intensity 24

Structure:
Lattice parameters (Å, degrees): 5.9496 6.0040 6.8529 65.67 64.51 89.90
Space group P1 (No. 1)
Unique sites:
Ga (0.0000, 0.0000, 0.0000) x1
Cu (0.2555, 0.7596, 0.4946) x1
I (0.3838, 0.3751, 0.7416) x1
Br (0.1112, 0.6507, 0.2486) x1
Br (0.6362, 0.1071, 0.2505) x1
Br (0.8925, 0.8878, 0.7483) x1


The following is a calculated PXRD pattern of Cu2HgI2Br2. It was derived from a cell relaxed with PBE, using Cu Kα.
Kinematic intensities with the Lorentz-polarization factor, no thermal factor.

Most intense lines, 15 to 90 degrees two-theta, low angle first:
- hkl 1 1 1, 2θ = 20.7°, 4.298 Å, intensity 50
- hkl 0 2 1, 2θ = 25.3°, 3.515 Å, intensity 100
- hkl 2 0 1, 2θ = 25.7°, 3.465 Å, intensity 100
- hkl 2 2 2, 2θ = 42.0°, 2.149 Å, intensity 99
- hkl 0 4 0, 2θ = 42.3°, 2.136 Å, intensity 26
- hkl 4 0 0, 2θ = 43.3°, 2.091 Å, intensity 22
- hkl 2 4 1, 2θ = 50.2°, 1.818 Å, intensity 31
- hkl 4 2 1, 2θ = 50.8°, 1.797 Å, intensity 27

Structure:
Lattice parameters (Å, degrees): 8.3648 8.5452 6.1857 90.00 90.00 90.00
Space group Cmm2 (No. 35)
Unique sites:
Cu (0.2500, 0.2500, 0.0000) x4
Hg (0.0000, 0.0000, 0.4843) x2
I (0.2295, 0.5000, 0.7620) x4
Br (0.0000, 0.2584, 0.2206) x4


The following is a calculated PXRD pattern of Cu2HgI2Br2. It was derived from a cell relaxed with PBE, using Cu Kα.
Kinematic intensities with the Lorentz-polarization factor, no thermal factor.

Most intense lines, 15 to 90 degrees two-theta, low angle first:
- hkl 0 1 1, 2θ = 20.7°, 4.301 Å, intensity 24
- hkl 1 1 -1, 2θ = 25.2°, 3.534 Å, intensity 100
- hkl 1 1 1, 2θ = 25.9°, 3.442 Å, intensity 93
- hkl 2 0 -2, 2θ = 40.9°, 2.209 Å, intensity 25
- hkl 0 2 2, 2θ = 42.0°, 2.150 Å, intensity 48
- hkl 2 0 2, 2θ = 42.6°, 2.121 Å, intensity 23
- hkl 2 2 0, 2θ = 43.2°, 2.095 Å, intensity 47
- hkl 1 3 1, 2θ = 51.2°, 1.783 Å, intensity 28

Structure:
Lattice parameters (Å, degrees): 5.9645 5.8912 6.2979 90.00 92.34 90.00
Space group P2 (No. 3)
Unique sites:
Cu (0.0000, 0.0000, 0.0000) x1
Cu (0.5000, 0.4811, 0.0000) x1
Hg (0.5000, 0.9902, 0.5000) x1
I (0.2257, 0.7274, 0.7630) x2
Br (0.2462, 0.2564, 0.2188) x2


The following is a calculated PXRD pattern of InCuI3Br. It was derived from a cell relaxed with PBE, using Cu Kα.
Kinematic intensities with the Lorentz-polarization factor, no thermal factor.

Most intense lines, 15 to 90 degrees two-theta, low angle first:
- hkl 0 1 -1, 2θ = 15.7°, 5.629 Å, intensity 35
- hkl 1 -1 1, 2θ = 24.7°, 3.609 Å, intensity 100
- hkl -1 1 1, 2θ = 25.1°, 3.554 Å, intensity 48
- hkl 1 1 -2, 2θ = 25.2°, 3.536 Å, intensity 46
- hkl 2 -2 0, 2θ = 39.9°, 2.258 Å, intensity 23
- hkl 2 2 -2, 2θ = 40.0°, 2.251 Å, intensity 23
- hkl 2 0 1, 2θ = 41.4°, 2.183 Å, intensity 21
- hkl 3 -1 0, 2θ = 47.5°, 1.914 Å, intensity 24

Structure:
Lattice parameters (Å, degrees): 6.3436 6.4133 7.3229 115.64 114.27 90.15
Space group P1 (No. 1)
Unique sites:
In (0.0000, 0.0000, 0.0000) x1
Cu (0.7549, 0.2518, 0.4955) x1
I (0.1197, 0.6075, 0.7317) x1
I (0.3909, 0.3796, 0.2667) x1
I (0.6200, 0.1204, 0.7293) x1
Br (0.8809, 0.9075, 0.2620) x1


The following is a calculated PXRD pattern of InCuIBr3. It was derived from a cell relaxed with PBE, using Cu Kα.
Kinematic intensities with the Lorentz-polarization factor, no thermal factor.

Most intense lines, 15 to 90 degrees two-theta, low angle first:
- hkl 1 0 1, 2θ = 16.5°, 5.373 Å, intensity 35
- hkl 0 1 1, 2θ = 16.6°, 5.344 Å, intensity 32
- hkl 1 1 0, 2θ = 25.4°, 3.501 Å, intensity 56
- hkl 1 -1 1, 2θ = 25.6°, 3.480 Å, intensity 54
- hkl 1 1 2, 2θ = 26.2°, 3.407 Å, intensity 100
- hkl 2 2 2, 2θ = 41.6°, 2.173 Å, intensity 26
- hkl 2 -2 0, 2θ = 41.7°, 2.166 Å, intensity 26
- hkl 3 -1 0, 2θ = 50.0°, 1.825 Å, intensity 25

Structure:
Lattice parameters (Å, degrees): 6.1017 6.1754 7.0539 65.77 64.58 89.81
Space group P1 (No. 1)
Unique sites:
In (0.0000, 0.0000, 0.0000) x1
Cu (0.2546, 0.7564, 0.4965) x1
I (0.3938, 0.3921, 0.7312) x1
Br (0.1172, 0.6378, 0.2629) x1
Br (0.6126, 0.1034, 0.2651) x1
Br (0.8927, 0.8784, 0.7359) x1